# 1
Calculated XRD peak list
Compound: RbMn4F8
Radiation: Cu Kα
Structure: a crystal structure in Alexandria, relaxed with GGA+U
No peak broadening, texture or thermal motion is included.

Main lines, by intensity (10 to 90 degrees two-theta):
h k l  d/Å  intensity
0 0 2  7.200  100
2 0 4  2.197  74
2 0 0  2.773  32
1 0 2  4.393  28
1 0 0  5.546  27
2 2 0  1.601  21
2 0 6  1.814  19
0 0 4  3.600  19
2 0 8  1.510  19
2 0 1  2.723  16

Structural model:
a b c (Å): 6.4035 6.4035 14.3990
angles (deg): 90.00 90.00 120.00
Space group P6_3/mmc (No. 194)
Symmetry-distinct sites (fractional):
Rb 0.0000 0.0000 0.0000 [2 per cell]
Mn 0.0000 0.0000 0.2500 [2 per cell]
Mn 0.0013 0.5006 0.2500 [6 per cell]
F 0.1620 0.3239 0.1629 [12 per cell]
F 0.3333 0.6667 0.6645 [4 per cell]

=====

# 2
Calculated XRD peak list
Compound: Rb2MnF6
Radiation: Cu Kα
Structure: a crystal structure in Alexandria, relaxed with GGA+U
No peak broadening, texture or thermal motion is included.

Main lines, by intensity (10 to 90 degrees two-theta):
h k l  d/Å  intensity
1 0 2  3.593  100
2 0 2  2.315  88
1 1 0  3.027  81
2 0 3  2.050  31
1 0 1  4.630  29
1 0 3  2.787  29
2 2 0  1.514  24
3 1 2  1.394  22
2 0 1  2.534  22
2 1 2  1.839  22

Structural model:
a b c (Å): 6.0543 6.0543 9.8692
angles (deg): 90.00 90.00 120.00
Space group P6_3mc (No. 186)
Symmetry-distinct sites (fractional):
Rb 0.0000 0.0000 0.0000 [2 per cell]
Rb 0.3333 0.6667 0.2744 [2 per cell]
Mn 0.3333 0.6667 0.6580 [2 per cell]
F 0.0471 0.5235 0.5482 [6 per cell]
F 0.1862 0.3724 0.7622 [6 per cell]

=====

# 3
Calculated XRD peak list
Compound: Rb4Mn3TlF12
Radiation: Cu Kα
Structure: a crystal structure in Alexandria, relaxed with GGA+U
No peak broadening, texture or thermal motion is included.

Main lines, by intensity (10 to 90 degrees two-theta):
h k l  d/Å  intensity
2 2 0  3.133  100
4 0 0  2.215  41
4 2 2  1.809  40
4 4 0  1.567  25
6 4 2  1.184  21
1 1 0  6.266  20
6 2 0  1.401  18
2 1 1  3.618  12
3 2 1  2.368  11
3 1 0  2.802  9

Structural model:
a b c (Å): 8.8619 8.8619 8.8619
angles (deg): 90.00 90.00 90.00
Space group Im-3m (No. 229)
Symmetry-distinct sites (fractional):
Rb 0.2500 0.2500 0.2500 [8 per cell]
Mn 0.0000 0.0000 0.5000 [6 per cell]
Tl 0.0000 0.0000 0.0000 [2 per cell]
F 0.0000 0.0000 0.2741 [12 per cell]
F 0.0000 0.2500 0.5000 [12 per cell]

=====

# 4
Calculated XRD peak list
Compound: RbZrMnF7
Radiation: Cu Kα
Structure: a crystal structure in Alexandria, relaxed with GGA+U
No peak broadening, texture or thermal motion is included.

Main lines, by intensity (10 to 90 degrees two-theta):
h k l  d/Å  intensity
1 3 0  3.265  100
1 1 2  3.404  89
2 0 0  3.383  73
0 2 2  3.362  70
0 0 4  2.104  45
3 3 0  1.930  44
1 5 2  1.896  43
3 1 2  1.957  37
0 0 2  4.208  36
2 2 2  2.385  33

Structural model:
a b c (Å): 6.7657 11.1813 8.4164
angles (deg): 90.00 90.00 90.00
Space group Cmcm (No. 63)
Symmetry-distinct sites (fractional):
Rb 0.0000 0.0000 0.0000 [4 per cell]
Zr 0.0000 0.3095 0.2500 [4 per cell]
Mn 0.0000 0.3089 0.7500 [4 per cell]
F 0.0000 0.3011 0.0057 [8 per cell]
F 0.0000 0.4951 0.2500 [4 per cell]
F 0.1826 0.1532 0.2500 [8 per cell]
F 0.1983 0.1418 0.7500 [8 per cell]

=====

# 5
Calculated XRD peak list
Compound: Mn2RhF
Radiation: Cu Kα
Structure: a crystal structure in Alexandria, relaxed with GGA+U
No peak broadening, texture or thermal motion is included.

Main lines, by intensity (10 to 90 degrees two-theta):
h k l  d/Å  intensity
1 1 2  2.591  100
2 1 1  2.601  57
2 2 0  2.255  55
3 1 2  1.701  46
1 0 1  4.494  26
2 0 4  1.418  25
3 0 1  2.016  22
5 1 2  1.164  17
4 0 0  1.595  14
3 2 3  1.356  12

Structural model:
a b c (Å): 6.3782 6.3782 6.3326
angles (deg): 90.00 90.00 90.00
Space group I-42d (No. 122)
Symmetry-distinct sites (fractional):
Mn 0.1953 0.2500 0.1250 [8 per cell]
Rh 0.0000 0.0000 0.5000 [4 per cell]
F 0.0000 0.0000 0.0000 [4 per cell]

=====

# 6
Calculated XRD peak list
Compound: MnSeF6
Radiation: Cu Kα
Structure: a crystal structure in Alexandria, relaxed with GGA+U
No peak broadening, texture or thermal motion is included.

Main lines, by intensity (10 to 90 degrees two-theta):
h k l  d/Å  intensity
1 1 0  4.529  100
1 3 2  1.934  11
3 3 0  1.510  7
1 1 2  2.427  7
0 2 2  2.448  7
2 4 0  1.712  7
2 2 0  2.264  7
1 1 -2  2.471  6
1 3 0  2.615  6
1 3 -2  1.956  6

Structural model:
a b c (Å): 5.2329 9.0531 5.8236
angles (deg): 90.00 91.32 90.00
Space group C2 (No. 5)
Symmetry-distinct sites (fractional):
Mn 0.0000 0.0000 0.0000 [2 per cell]
Se 0.0000 0.0007 0.5000 [2 per cell]
F 0.1424 0.8583 0.7253 [4 per cell]
F 0.1427 0.1426 0.7269 [4 per cell]
F 0.2162 0.5001 0.7177 [4 per cell]